1.
This entry pairs a crystal structure of Er2UPaAs4 with its simulated powder XRD pattern. Radiation: Cu Kα, 1.54184 Å. Structure: a structure optimized by DFT (PBE).

Structural model:
abc: 7.051 4.076 7.125
angles: 90.00 109.32 90.00
Space group P2/m (No. 10)
Asymmetric unit:
Er 0.000 0.000 0.000
Er 0.500 0.500 0.000
U 0.000 0.500 0.500
Pa 0.500 0.000 0.500
As 0.249 0.500 0.248
As 0.251 0.000 0.752

Top 10 peaks for 10° ≤ 2θ ≤ 90°, low angle first:
2θ/deg, d_spacing, intensity
26.51, 3.362, 9.0
26.77, 3.330, 26.5
30.94, 2.891, 100.0
44.15, 2.051, 38.0
44.48, 2.037, 37.2
52.53, 1.742, 8.9
55.17, 1.665, 19.8
64.47, 1.445, 12.4
72.98, 1.296, 17.4
73.46, 1.289, 17.1

=====

2.
This entry pairs a crystal structure of Tl2In17 with its simulated powder XRD pattern. Radiation: Cu Kα, 1.54184 Å. Structure: a structure optimized by DFT (PBE).

Structural model:
abc: 10.5324 10.5324 17.2734
angles: 90.00 90.00 120.00
Space group R-3m (No. 166, hexagonal axes)
Asymmetric unit:
Tl 0.0000 0.0000 0.1874
In 0.0000 0.0000 0.3993
In 0.0000 0.2938 0.5000
In 0.0000 0.5000 0.0000
In 0.0240 0.5120 0.6290

Top 10 peaks for 10° ≤ 2θ ≤ 90°, low angle first:
2θ/deg, d_spacing, intensity
27.86, 3.202, 33.0
28.46, 3.136, 25.1
29.38, 3.040, 34.8
31.06, 2.879, 22.1
32.51, 2.754, 88.3
33.32, 2.689, 100.0
34.05, 2.633, 59.6
37.56, 2.395, 36.0
59.97, 1.543, 27.7
60.94, 1.520, 19.7

=====

- Number 2 is which compound?
  Tl2In17